Starting from DFT lattice parameters and positions (PBE), the X-ray diffraction stick pattern of NaIn2Pd2 was calculated for Cu Kα.
Neutral-atom scattering factors, no anomalous dispersion.

Crystal structure
```
NaIn2Pd2
1.0
-2.121 2.121 6.201
2.121 -2.121 6.201
2.121 2.121 -6.201
Na In Pd
1 2 2
Direct
0.000 0.000 0.000 Na
0.383 0.383 0.000 In
0.617 0.617 0.000 In
0.250 0.750 0.500 Pd
0.750 0.250 0.500 Pd
```

Principal peaks in the range 10° ≤ 2θ ≤ 90°, sorted by position:
2θ 14.28, intensity 61
2θ 22.15, intensity 67
2θ 30.18, intensity 37
2θ 33.18, intensity 76
2θ 41.90, intensity 100
2θ 42.62, intensity 60

Starting from DFT lattice parameters and positions (PBE), the X-ray diffraction stick pattern of KGa8Ag3Se14 was calculated for Cu Kα.
Neutral-atom scattering factors, no anomalous dispersion.

Crystal structure
```
KGa8Ag3Se14
1.0
6.548 -5.943 0.000
6.548 5.943 0.000
-4.338 0.000 8.811
K Ga Ag Se
1 8 3 14
Direct
0.000 0.000 0.000 K
0.044 0.704 0.297 Ga
0.107 0.436 0.905 Ga
0.299 0.630 0.699 Ga
0.436 0.107 0.905 Ga
0.497 0.839 0.500 Ga
0.630 0.299 0.699 Ga
0.704 0.044 0.297 Ga
0.839 0.497 0.500 Ga
0.154 0.154 0.522 Ag
0.369 0.369 0.278 Ag
0.576 0.576 0.071 Ag
0.035 0.709 0.551 Se
0.073 0.433 0.140 Se
0.155 0.155 0.789 Se
0.245 0.897 0.337 Se
0.276 0.659 0.945 Se
0.371 0.371 0.555 Se
0.433 0.073 0.140 Se
0.507 0.834 0.753 Se
0.589 0.589 0.357 Se
0.659 0.276 0.945 Se
0.709 0.035 0.551 Se
0.800 0.800 0.146 Se
0.834 0.507 0.753 Se
0.897 0.245 0.337 Se
```

Principal peaks in the range 10° ≤ 2θ ≤ 90°, sorted by position:
2θ 27.10, intensity 100
2θ 27.30, intensity 51
2θ 27.44, intensity 50
2θ 44.66, intensity 48
2θ 44.85, intensity 47
2θ 54.18, intensity 26

Starting from DFT lattice parameters and positions (PBE), the X-ray diffraction stick pattern of Y2Ho2CI5 was calculated for Cu Kα.
Neutral-atom scattering factors, no anomalous dispersion.

Crystal structure
```
Y2Ho2CI5
1.0
9.530 -1.977 0.000
9.530 1.977 0.000
-1.886 0.000 8.384
Y Ho C I
2 2 1 5
Direct
0.130 0.130 0.064 Y
0.870 0.870 0.936 Y
0.500 0.500 0.187 Ho
0.500 0.500 0.813 Ho
0.000 0.000 0.000 C
0.000 0.000 0.500 I
0.333 0.333 0.180 I
0.337 0.337 0.659 I
0.663 0.663 0.341 I
0.667 0.667 0.820 I
```

Principal peaks in the range 10° ≤ 2θ ≤ 90°, sorted by position:
2θ 28.81, intensity 53
2θ 30.73, intensity 100
2θ 33.07, intensity 32
2θ 42.53, intensity 31
2θ 42.71, intensity 29
2θ 45.91, intensity 20